Starting from a cell relaxed with GGA-PBE, the X-ray powder pattern of EuC2 was calculated for copper Kα.

Crystal structure
abc: 4.287 4.287 4.287
angles: 125.58 125.58 80.58
Positions (direct):
Eu  0.000  0.000  0.000
C  0.402  0.402  0.000
C  0.598  0.598  0.000

Peak list (10 most intense, 15° ≤ 2θ ≤ 90°, by angle)
d [Å]  Position (°2θ)  Rel. int.
3.363  26.5  1000
3.270  27.3  339
2.772  32.3  522
2.115  42.8  400
1.960  46.3  183
1.905  47.7  284
1.694  54.2  302
1.681  54.6  192
1.366  68.7  190
1.240  76.9  159